For LaEr2Tl4, DFT lattice parameters and positions (PBE) gives the simulated PXRD pattern in this record (a wavelength of 1.5418 Å).
Kinematic intensities with the Lorentz-polarization factor, no thermal factor.

The 12 most intense peaks (5 to 70 degrees two-theta), sorted by position:
2θ/deg	I/Imax
20.39	8.6
23.88	8.3
26.55	8.8
33.40	100.0
34.02	51.1
34.82	4.0
47.03	7.8
48.88	18.7
49.48	6.1
59.30	15.8
60.49	37.0
65.36	5.2

Structural model:
```
LaEr2Tl4
1.0
5.2705 0.0000 0.0000
0.0000 5.2705 0.0000
0.0000 0.0000 7.7291
La Er Tl
1 2 4
Direct
0.0000 0.0000 0.0000
0.0000 0.0000 0.5000
0.5000 0.5000 0.0000
0.0000 0.5000 0.2765
0.0000 0.5000 0.7235
0.5000 0.0000 0.2765
0.5000 0.0000 0.7235
```

---

For LaErTl4, DFT lattice parameters and positions (PBE) gives the simulated PXRD pattern in this record (a wavelength of 1.5418 Å).
Kinematic intensities with the Lorentz-polarization factor, no thermal factor.

The 12 most intense peaks (5 to 70 degrees two-theta), sorted by position:
2θ/deg	I/Imax
11.54	3.0
20.06	2.2
23.19	3.3
30.84	100.0
35.11	75.7
40.75	4.1
42.50	3.9
47.42	31.4
51.96	21.2
60.35	31.9
62.98	14.2
64.26	13.9

Structural model:
```
LaErTl4
1.0
5.1124 0.0000 0.0000
-2.5562 4.4275 0.0000
0.0000 0.0000 7.6710
La Er Tl
1 1 4
Direct
0.0000 0.0000 0.0000
0.0000 0.0000 0.5000
0.3333 0.6667 0.2004
0.3333 0.6667 0.6676
0.6667 0.3333 0.3324
0.6667 0.3333 0.7996
```

---

For La2Er6Tl, DFT lattice parameters and positions (PBE) gives the simulated PXRD pattern in this record (a wavelength of 1.5418 Å).
Kinematic intensities with the Lorentz-polarization factor, no thermal factor.

The 12 most intense peaks (5 to 70 degrees two-theta), sorted by position:
2θ/deg	I/Imax
27.41	15.5
30.47	24.9
31.84	95.8
31.98	100.0
32.19	54.3
35.76	18.0
38.10	12.9
45.87	22.7
56.61	27.4
56.84	15.9
57.23	31.6
66.60	11.6

Structural model:
```
La2Er6Tl
1.0
9.7161 0.0000 0.0000
0.0000 10.3583 0.0000
0.0000 0.0000 5.5619
La Er Tl
4 12 2
Direct
0.1867 0.2478 0.0000
0.3133 0.7478 0.5000
0.6867 0.2522 0.5000
0.8133 0.7522 0.0000
0.0148 0.1735 0.5000
0.1428 0.5997 0.0000
0.1767 0.9225 0.0000
0.3233 0.4225 0.5000
0.3572 0.0997 0.5000
0.4852 0.6735 0.0000
0.5148 0.3265 0.0000
0.6428 0.9003 0.5000
0.6767 0.5775 0.5000
0.8233 0.0775 0.0000
0.8572 0.4003 0.0000
0.9852 0.8265 0.5000
0.0000 0.5000 0.5000
0.5000 0.0000 0.0000
```

---

For LaEr2Tl3, DFT lattice parameters and positions (PBE) gives the simulated PXRD pattern in this record (a wavelength of 1.5418 Å).
Kinematic intensities with the Lorentz-polarization factor, no thermal factor.

The 12 most intense peaks (5 to 70 degrees two-theta), sorted by position:
2θ/deg	I/Imax
7.49	4.3
23.48	1.7
32.82	100.0
33.44	50.0
38.69	3.8
46.17	8.4
48.02	18.4
58.20	17.0
59.39	37.3
63.29	1.8
65.42	2.3
68.81	10.3

Structural model:
```
LaEr2Tl3
1.0
3.7894 0.0000 0.0000
0.0000 3.7894 0.0000
0.0000 0.0000 11.7978
La Er Tl
1 2 3
Direct
0.0000 0.0000 0.0000
0.0000 0.0000 0.3411
0.0000 0.0000 0.6589
0.5000 0.5000 0.1846
0.5000 0.5000 0.5000
0.5000 0.5000 0.8154
```

---

For La5Er4Tl4, DFT lattice parameters and positions (PBE) gives the simulated PXRD pattern in this record (a wavelength of 1.5418 Å).
Kinematic intensities with the Lorentz-polarization factor, no thermal factor.

The 12 most intense peaks (5 to 70 degrees two-theta), sorted by position:
2θ/deg	I/Imax
30.60	100.0
30.89	11.4
33.66	18.1
35.35	15.7
35.75	23.4
39.14	9.8
41.87	10.8
51.15	11.1
56.20	9.2
61.06	14.2
62.83	9.6
64.20	14.0

Structural model:
```
La5Er4Tl4
1.0
-6.4734 6.4734 2.5117
6.4734 -6.4734 2.5117
6.4734 6.4734 -2.5117
La Er Tl
5 4 4
Direct
0.0000 0.0000 0.0000
0.3025 0.3874 0.6899
0.3874 0.6975 0.0849
0.6126 0.3025 0.9151
0.6975 0.6126 0.3101
0.0935 0.5937 0.6871
0.4063 0.0935 0.4998
0.5937 0.9065 0.5002
0.9065 0.4063 0.3129
0.0851 0.2428 0.3279
0.2428 0.9149 0.1576
0.7572 0.0851 0.8424
0.9149 0.7572 0.6721
```

---

For La6ErTl, DFT lattice parameters and positions (PBE) gives the simulated PXRD pattern in this record (a wavelength of 1.5418 Å).
Kinematic intensities with the Lorentz-polarization factor, no thermal factor.

The 12 most intense peaks (5 to 70 degrees two-theta), sorted by position:
2θ/deg	I/Imax
8.51	0.6
17.07	0.5
17.32	1.0
24.41	0.9
30.09	100.0
34.53	17.3
35.06	33.4
50.03	24.3
50.42	11.9
59.14	14.6
59.84	28.5
62.55	12.4

Structural model:
```
La6ErTl
1.0
5.1192 0.0000 0.0000
0.0000 5.1192 0.0000
0.0000 0.0000 10.3898
La Er Tl
6 1 1
Direct
0.0000 0.0000 0.0000
0.0000 0.0000 0.5000
0.0000 0.5000 0.2466
0.0000 0.5000 0.7534
0.5000 0.0000 0.2466
0.5000 0.0000 0.7534
0.5000 0.5000 0.5000
0.5000 0.5000 0.0000
```

---

Question: What is the formula in the fourth record?
Answer: LaEr2Tl3

---

Please write out number 6 again, unchanged.
For La6ErTl, DFT lattice parameters and positions (PBE) gives the simulated PXRD pattern in this record (a wavelength of 1.5418 Å).
Kinematic intensities with the Lorentz-polarization factor, no thermal factor.

The 12 most intense peaks (5 to 70 degrees two-theta), sorted by position:
2θ/deg	I/Imax
8.51	0.6
17.07	0.5
17.32	1.0
24.41	0.9
30.09	100.0
34.53	17.3
35.06	33.4
50.03	24.3
50.42	11.9
59.14	14.6
59.84	28.5
62.55	12.4

Structural model:
```
La6ErTl
1.0
5.1192 0.0000 0.0000
0.0000 5.1192 0.0000
0.0000 0.0000 10.3898
La Er Tl
6 1 1
Direct
0.0000 0.0000 0.0000
0.0000 0.0000 0.5000
0.0000 0.5000 0.2466
0.0000 0.5000 0.7534
0.5000 0.0000 0.2466
0.5000 0.0000 0.7534
0.5000 0.5000 0.5000
0.5000 0.5000 0.0000
```